K2SrSbSe4: computed XRD peak list (a wavelength of 1.5418 Å), based on a GGA-PBE-relaxed structure.

Principal peaks in the range 2θ from 5° to 70°, by angle:
| 2theta | d (Å) | Rel. int. |
| --- | --- | --- |
| 11.89 | 7.441 | 31 |
| 28.33 | 3.150 | 100 |
| 36.61 | 2.455 | 9 |
| 39.09 | 2.305 | 12 |
| 40.49 | 2.228 | 45 |
| 41.89 | 2.157 | 12 |
| 48.96 | 1.860 | 10 |
| 51.33 | 1.780 | 12 |
| 58.61 | 1.575 | 9 |
| 66.34 | 1.409 | 15 |

Cell and atoms:
```
data_K2SrSbSe4
_cell_length_a 8.6269
_cell_length_b 9.2184
_cell_length_c 12.6066
_cell_angle_alpha 90.00
_cell_angle_beta 90.00
_cell_angle_gamma 90.00
_space_group_name_H-M_alt 'I m m a'
_space_group_IT_number 74
_space_group_name_Hall '-I 2b 2'
loop_
_atom_site_label
_atom_site_fract_x
_atom_site_fract_y
_atom_site_fract_z
_atom_site_occupancy
K1 0.0000 0.0000 0.0000 1
K2 0.2500 0.2500 0.2500 1
Sr1 0.0000 0.0000 0.5000 1
Sb1 0.2500 0.2500 0.7500 1
Se1 0.0000 0.0397 0.7464 1
Se2 0.2398 0.2500 0.5267 1
```


MnCr2Re: computed XRD peak list (a wavelength of 1.5418 Å), based on a GGA-PBE-relaxed structure.

Principal peaks in the range 2θ from 5° to 70°, by angle:
| 2theta | d (Å) | Rel. int. |
| --- | --- | --- |
| 23.17 | 3.840 | 16 |
| 27.21 | 3.277 | 45 |
| 35.02 | 2.562 | 12 |
| 42.41 | 2.131 | 100 |
| 43.27 | 2.091 | 14 |
| 47.35 | 1.920 | 18 |
| 50.36 | 1.812 | 30 |
| 56.13 | 1.639 | 6 |
| 58.18 | 1.586 | 12 |
| 68.53 | 1.369 | 8 |

Cell and atoms:
```
data_MnCr2Re
_cell_length_a 3.6237
_cell_length_b 3.6237
_cell_length_c 7.6793
_cell_angle_alpha 90.00
_cell_angle_beta 90.00
_cell_angle_gamma 90.00
_space_group_name_H-M_alt 'I -4 m 2'
_space_group_IT_number 119
_space_group_name_Hall 'I -4 -2'
loop_
_atom_site_label
_atom_site_fract_x
_atom_site_fract_y
_atom_site_fract_z
_atom_site_occupancy
Mn1 0.0000 0.0000 0.0000 1
Cr1 0.0000 0.0000 0.5000 1
Cr2 0.0000 0.5000 0.2500 1
Re1 0.0000 0.5000 0.7500 1
```


Ce4PmSn3: computed XRD peak list (a wavelength of 1.5418 Å), based on a GGA-PBE-relaxed structure.

Principal peaks in the range 2θ from 5° to 70°, by angle:
| 2theta | d (Å) | Rel. int. |
| --- | --- | --- |
| 28.54 | 3.127 | 38 |
| 29.60 | 3.018 | 54 |
| 30.08 | 2.971 | 46 |
| 30.88 | 2.895 | 100 |
| 32.22 | 2.778 | 29 |
| 33.12 | 2.705 | 48 |
| 33.68 | 2.661 | 64 |
| 39.03 | 2.308 | 42 |
| 40.94 | 2.205 | 39 |
| 43.75 | 2.069 | 44 |

Cell and atoms:
```
data_Ce4PmSn3
_cell_length_a 25.1343
_cell_length_b 4.1385
_cell_length_c 4.4236
_cell_angle_alpha 90.00
_cell_angle_beta 95.49
_cell_angle_gamma 90.00
_space_group_name_H-M_alt 'C 1 2/m 1'
_space_group_IT_number 12
loop_
_space_group_symop_operation_xyz
'x,y,z'
'-x,-y,-z'
'-x,y,-z'
'x,-y,z'
'x+1/2,y+1/2,z'
'-x+1/2,-y+1/2,-z'
'-x+1/2,y+1/2,-z'
'x+1/2,-y+1/2,z'
loop_
_atom_site_label
_atom_site_fract_x
_atom_site_fract_y
_atom_site_fract_z
_atom_site_occupancy
Ce1 0.1021 0.0000 0.0313 1
Ce2 0.1466 0.5000 0.6935 1
Pm1 0.0000 0.0000 0.5000 1
Sn1 0.0000 0.5000 0.0000 1
Sn2 0.2224 0.0000 0.2310 1
```


ZrMnPb2S5: computed XRD peak list (a wavelength of 1.5418 Å), based on a GGA-PBE-relaxed structure.

Principal peaks in the range 2θ from 5° to 70°, by angle:
| 2theta | d (Å) | Rel. int. |
| --- | --- | --- |
| 20.84 | 4.263 | 26 |
| 23.14 | 3.843 | 100 |
| 23.58 | 3.774 | 33 |
| 27.37 | 3.258 | 32 |
| 28.75 | 3.105 | 31 |
| 31.52 | 2.838 | 93 |
| 32.25 | 2.776 | 34 |
| 34.94 | 2.568 | 32 |
| 35.07 | 2.559 | 24 |
| 37.82 | 2.379 | 37 |

Cell and atoms:
```
data_ZrMnPb2S5
_cell_length_a 3.8696
_cell_length_b 17.0533
_cell_length_c 12.9158
_cell_angle_alpha 90.00
_cell_angle_beta 90.00
_cell_angle_gamma 90.00
_space_group_name_H-M_alt 'C m c 21'
_space_group_IT_number 36
loop_
_space_group_symop_operation_xyz
'x,y,z'
'-x,-y,z+1/2'
'-x,y,z'
'x,-y,z+1/2'
'x+1/2,y+1/2,z'
'-x+1/2,-y+1/2,z+1/2'
'-x+1/2,y+1/2,z'
'x+1/2,-y+1/2,z+1/2'
loop_
_atom_site_label
_atom_site_fract_x
_atom_site_fract_y
_atom_site_fract_z
_atom_site_occupancy
Zr1 0.0000 0.2129 0.0000 1
Mn1 0.0000 0.4347 0.4126 1
Pb1 0.0000 0.0970 0.6268 1
Pb2 0.0000 0.1217 0.2824 1
S1 0.0000 0.0597 0.0216 1
S2 0.0000 0.2755 0.6352 1
S3 0.0000 0.2998 0.3646 1
S4 0.0000 0.3616 0.9699 1
S5 0.0000 0.4998 0.2535 1
```


TbGa2Pd2Pt: computed XRD peak list (a wavelength of 1.5418 Å), based on a GGA-PBE-relaxed structure.

Principal peaks in the range 2θ from 5° to 70°, by angle:
| 2theta | d (Å) | Rel. int. |
| --- | --- | --- |
| 16.03 | 5.528 | 19 |
| 18.79 | 4.723 | 15 |
| 26.69 | 3.340 | 68 |
| 37.71 | 2.385 | 100 |
| 38.11 | 2.362 | 77 |
| 50.86 | 1.795 | 11 |
| 54.69 | 1.678 | 68 |
| 54.99 | 1.670 | 27 |
| 62.15 | 1.494 | 13 |
| 68.60 | 1.368 | 17 |

Cell and atoms:
```
data_TbGa2Pd2Pt
_cell_length_a 4.7231
_cell_length_b 4.7231
_cell_length_c 5.5276
_cell_angle_alpha 90.00
_cell_angle_beta 90.00
_cell_angle_gamma 90.00
_space_group_name_H-M_alt 'P 4/m m m'
_space_group_IT_number 123
_space_group_name_Hall '-P 4 2'
loop_
_atom_site_label
_atom_site_fract_x
_atom_site_fract_y
_atom_site_fract_z
_atom_site_occupancy
Tb1 0.0000 0.0000 0.0000 1
Ga1 0.0000 0.5000 0.5000 1
Pd1 0.5000 0.5000 0.2435 1
Pt1 0.0000 0.0000 0.5000 1
```


Tb4Tm9Hg11: computed XRD peak list (a wavelength of 1.5418 Å), based on a GGA-PBE-relaxed structure.

Principal peaks in the range 2θ from 5° to 70°, by angle:
| 2theta | d (Å) | Rel. int. |
| --- | --- | --- |
| 32.95 | 2.718 | 50 |
| 33.28 | 2.692 | 87 |
| 34.18 | 2.623 | 100 |
| 35.00 | 2.564 | 40 |
| 35.16 | 2.553 | 94 |
| 38.60 | 2.332 | 24 |
| 51.84 | 1.764 | 23 |
| 60.53 | 1.530 | 34 |
| 63.02 | 1.475 | 58 |
| 64.09 | 1.453 | 14 |

Cell and atoms:
```
data_Tb4Tm9Hg11
_cell_length_a 15.7011
_cell_length_b 22.1985
_cell_length_c 3.5270
_cell_angle_alpha 90.00
_cell_angle_beta 90.00
_cell_angle_gamma 90.00
_space_group_name_H-M_alt 'C m m m'
_space_group_IT_number 65
_space_group_name_Hall '-C 2 2'
loop_
_atom_site_label
_atom_site_fract_x
_atom_site_fract_y
_atom_site_fract_z
_atom_site_occupancy
Tb1 0.1629 0.0847 0.0000 1
Tm1 0.0000 0.0000 0.0000 1
Tm2 0.1123 0.4087 0.0000 1
Tm3 0.1156 0.2355 0.0000 1
Hg1 0.0000 0.1306 0.5000 1
Hg2 0.0000 0.3206 0.5000 1
Hg3 0.0000 0.5000 0.5000 1
Hg4 0.2170 0.5000 0.5000 1
Hg5 0.2320 0.3212 0.5000 1
```


Nd5Tl2Te2: computed XRD peak list (a wavelength of 1.5418 Å), based on a GGA-PBE-relaxed structure.

Principal peaks in the range 2θ from 5° to 70°, by angle:
| 2theta | d (Å) | Rel. int. |
| --- | --- | --- |
| 11.00 | 8.040 | 26 |
| 26.22 | 3.399 | 34 |
| 29.07 | 3.072 | 94 |
| 30.15 | 2.965 | 27 |
| 30.82 | 2.902 | 39 |
| 32.65 | 2.742 | 69 |
| 33.44 | 2.680 | 30 |
| 34.27 | 2.616 | 100 |
| 36.82 | 2.441 | 21 |
| 44.27 | 2.046 | 33 |

Cell and atoms:
```
data_Nd5Tl2Te2
_cell_length_a 16.0796
_cell_length_b 8.3886
_cell_length_c 8.3814
_cell_angle_alpha 90.00
_cell_angle_beta 90.00
_cell_angle_gamma 90.00
_space_group_name_H-M_alt 'C m c e'
_space_group_IT_number 64
_space_group_name_Hall '-C 2ac 2'
loop_
_atom_site_label
_atom_site_fract_x
_atom_site_fract_y
_atom_site_fract_z
_atom_site_occupancy
Nd1 0.0000 0.0000 0.0000 1
Nd2 0.1391 0.1702 0.3357 1
Tl1 0.0000 0.1311 0.6276 1
Te1 0.1997 0.0000 0.0000 1
```


Ba3Si: computed XRD peak list (a wavelength of 1.5418 Å), based on a GGA-PBE-relaxed structure.

Principal peaks in the range 2θ from 5° to 70°, by angle:
| 2theta | d (Å) | Rel. int. |
| --- | --- | --- |
| 20.84 | 4.263 | 62 |
| 23.43 | 3.797 | 84 |
| 24.39 | 3.650 | 74 |
| 25.20 | 3.534 | 75 |
| 27.40 | 3.255 | 60 |
| 30.45 | 2.935 | 100 |
| 33.16 | 2.701 | 34 |
| 38.92 | 2.314 | 31 |
| 44.50 | 2.036 | 37 |
| 45.90 | 1.977 | 40 |

Cell and atoms:
```
data_Ba3Si
_cell_length_a 4.6276
_cell_length_b 8.0954
_cell_length_c 10.9489
_cell_angle_alpha 90.00
_cell_angle_beta 90.00
_cell_angle_gamma 90.00
_space_group_name_H-M_alt 'P m m n'
_space_group_IT_number 59
loop_
_space_group_symop_operation_xyz
'x,y,z'
'-x,-y,-z'
'-x+1/2,-y+1/2,z'
'x+1/2,y+1/2,-z'
'x+1/2,-y,-z'
'-x+1/2,y,z'
'-x,y+1/2,-z'
'x,-y+1/2,z'
loop_
_atom_site_label
_atom_site_fract_x
_atom_site_fract_y
_atom_site_fract_z
_atom_site_occupancy
Ba1 0.2500 0.0189 0.1770 1
Ba2 0.2500 0.2500 0.5203 1
Si1 0.2500 0.7500 0.6916 1
```


KH6IN2: computed XRD peak list (a wavelength of 1.5418 Å), based on a GGA-PBE-relaxed structure.

Principal peaks in the range 2θ from 5° to 70°, by angle:
| 2theta | d (Å) | Rel. int. |
| --- | --- | --- |
| 16.49 | 5.377 | 49 |
| 18.42 | 4.817 | 94 |
| 23.30 | 3.818 | 55 |
| 24.20 | 3.678 | 32 |
| 24.85 | 3.583 | 44 |
| 28.00 | 3.187 | 49 |
| 29.33 | 3.045 | 100 |
| 31.47 | 2.843 | 44 |
| 33.84 | 2.649 | 31 |
| 39.73 | 2.269 | 29 |

Cell and atoms:
```
data_KH6IN2
_cell_length_a 6.7048
_cell_length_b 14.7135
_cell_length_c 7.0231
_cell_angle_alpha 90.00
_cell_angle_beta 114.84
_cell_angle_gamma 90.00
_space_group_name_H-M_alt 'C 1 2/c 1'
_space_group_IT_number 15
loop_
_space_group_symop_operation_xyz
'x,y,z'
'-x,-y,-z'
'-x,y,-z+1/2'
'x,-y,z+1/2'
'x+1/2,y+1/2,z'
'-x+1/2,-y+1/2,-z'
'-x+1/2,y+1/2,-z+1/2'
'x+1/2,-y+1/2,z+1/2'
loop_
_atom_site_label
_atom_site_fract_x
_atom_site_fract_y
_atom_site_fract_z
_atom_site_occupancy
K1 0.0000 0.0215 0.2500 1
H1 0.1039 0.1961 0.6122 1
H2 0.2035 0.3520 0.4401 1
H3 0.2075 0.3657 0.2107 1
I1 0.0000 0.3802 0.7500 1
N1 0.1925 0.1372 0.6312 1
```


HoCoTc: computed XRD peak list (a wavelength of 1.5418 Å), based on a GGA-PBE-relaxed structure.

Principal peaks in the range 2θ from 5° to 70°, by angle:
| 2theta | d (Å) | Rel. int. |
| --- | --- | --- |
| 33.28 | 2.692 | 41 |
| 34.10 | 2.629 | 100 |
| 39.41 | 2.286 | 64 |
| 39.90 | 2.260 | 80 |
| 40.05 | 2.251 | 34 |
| 41.13 | 2.195 | 27 |
| 41.77 | 2.163 | 98 |
| 43.55 | 2.078 | 28 |
| 63.65 | 1.462 | 32 |
| 65.30 | 1.429 | 26 |

Cell and atoms:
```
data_HoCoTc
_cell_length_a 4.9707
_cell_length_b 5.3850
_cell_length_c 7.5753
_cell_angle_alpha 90.00
_cell_angle_beta 90.00
_cell_angle_gamma 90.00
_space_group_name_H-M_alt 'I m m a'
_space_group_IT_number 74
_space_group_name_Hall '-I 2b 2'
loop_
_atom_site_label
_atom_site_fract_x
_atom_site_fract_y
_atom_site_fract_z
_atom_site_occupancy
Ho1 0.0000 0.2500 0.1206 1
Co1 0.0000 0.0000 0.5000 1
Tc1 0.2500 0.2500 0.7500 1
```


CaUTi2O7: computed XRD peak list (a wavelength of 1.5418 Å), based on a GGA-PBE-relaxed structure.

Principal peaks in the range 2θ from 5° to 70°, by angle:
| 2theta | d (Å) | Rel. int. |
| --- | --- | --- |
| 15.14 | 5.851 | 100 |
| 17.33 | 5.116 | 47 |
| 28.77 | 3.103 | 42 |
| 30.02 | 2.977 | 95 |
| 30.56 | 2.925 | 92 |
| 35.12 | 2.555 | 51 |
| 38.21 | 2.355 | 36 |
| 50.50 | 1.807 | 61 |
| 59.60 | 1.551 | 30 |
| 60.53 | 1.530 | 25 |

Cell and atoms:
```
data_CaUTi2O7
_cell_length_a 7.1319
_cell_length_b 7.3195
_cell_length_c 10.2316
_cell_angle_alpha 90.00
_cell_angle_beta 90.00
_cell_angle_gamma 90.00
_space_group_name_H-M_alt 'I m m a'
_space_group_IT_number 74
_space_group_name_Hall '-I 2b 2'
loop_
_atom_site_label
_atom_site_fract_x
_atom_site_fract_y
_atom_site_fract_z
_atom_site_occupancy
Ca1 0.2500 0.2500 0.2500 1
U1 0.0000 0.0000 0.0000 1
Ti1 0.0000 0.0000 0.5000 1
Ti2 0.2500 0.2500 0.7500 1
O1 0.0000 0.2500 0.1136 1
O2 0.0000 0.2500 0.4285 1
O3 0.0000 0.2500 0.8308 1
O4 0.2112 0.0503 0.6218 1
```


Nd6TlHg6: computed XRD peak list (a wavelength of 1.5418 Å), based on a GGA-PBE-relaxed structure.

Principal peaks in the range 2θ from 5° to 70°, by angle:
| 2theta | d (Å) | Rel. int. |
| --- | --- | --- |
| 16.37 | 5.416 | 19 |
| 27.92 | 3.196 | 20 |
| 32.35 | 2.768 | 61 |
| 32.53 | 2.752 | 60 |
| 33.08 | 2.708 | 37 |
| 36.46 | 2.464 | 100 |
| 46.94 | 1.936 | 26 |
| 57.69 | 1.598 | 31 |
| 58.74 | 1.572 | 23 |
| 68.14 | 1.376 | 28 |

Cell and atoms:
```
data_Nd6TlHg6
_cell_length_a 6.3916
_cell_length_b 6.3916
_cell_length_c 10.8311
_cell_angle_alpha 90.00
_cell_angle_beta 90.00
_cell_angle_gamma 120.00
_space_group_name_H-M_alt 'P 6/m m m'
_space_group_IT_number 191
_space_group_name_Hall '-P 6 2'
loop_
_atom_site_label
_atom_site_fract_x
_atom_site_fract_y
_atom_site_fract_z
_atom_site_occupancy
Nd1 0.0000 0.0000 0.1829 1
Nd2 0.3333 0.6667 0.0000 1
Nd3 0.3333 0.6667 0.5000 1
Tl1 0.0000 0.0000 0.5000 1
Hg1 0.0000 0.5000 0.2519 1
```